The following is a calculated PXRD pattern of Hg3HI8. It was derived from the PBE geometry in Alexandria, using Cu Ka.

Principal peaks in the range 2θ = 10–90°, by intensity:
two_theta, I (rel.)
21.42, 100.0
22.71, 64.3
35.60, 60.4
15.32, 56.6
26.33, 56.1
24.66, 55.6
12.25, 50.8
42.81, 40.0

Structure:
a = 11.471 Å, b = 11.471 Å, c = 11.853 Å
α = 102.40°, β = 102.40°, γ = 21.21°
Atoms (fractional coordinates):
Hg: 0.000 0.000 0.000
Hg: 0.122 0.122 0.572
Hg: 0.284 0.284 0.516
H: 0.365 0.365 0.161
I: 0.120 0.120 0.971
I: 0.168 0.168 0.363
I: 0.238 0.238 0.727
I: 0.290 0.290 0.124
I: 0.430 0.430 0.867
I: 0.541 0.541 0.591
I: 0.867 0.867 0.503
I: 0.979 0.979 0.224

---

The following is a calculated PXRD pattern of HgH2I4. It was derived from the PBE geometry in Alexandria, using Cu Ka.

Principal peaks in the range 2θ = 10–90°, by intensity:
two_theta, I (rel.)
23.49, 100.0
14.57, 24.1
22.70, 21.8
37.92, 21.7
29.15, 17.1
37.31, 17.0
14.46, 15.0
30.96, 13.9

Structure:
a = 9.130 Å, b = 9.640 Å, c = 7.139 Å
α = 90.00°, β = 120.89°, γ = 90.00°
Atoms (fractional coordinates):
Hg: 0.000 0.000 0.000
Hg: 0.500 0.500 0.000
H: 0.179 0.337 0.182
H: 0.179 0.663 0.182
H: 0.679 0.163 0.182
H: 0.679 0.837 0.182
I: 0.165 0.237 0.365
I: 0.165 0.763 0.365
I: 0.172 0.500 0.911
I: 0.205 0.000 0.834
I: 0.665 0.263 0.365
I: 0.665 0.737 0.365
I: 0.672 0.000 0.911
I: 0.705 0.500 0.834

---

The following is a calculated PXRD pattern of Hg2H2I7. It was derived from the PBE geometry in Alexandria, using Cu Ka.

Principal peaks in the range 2θ = 10–90°, by intensity:
two_theta, I (rel.)
23.67, 100.0
24.94, 78.8
12.39, 74.6
20.25, 59.3
13.07, 48.0
20.06, 37.8
12.65, 34.5
21.44, 32.6

Structure:
a = 8.216 Å, b = 8.575 Å, c = 8.863 Å
α = 104.83°, β = 102.48°, γ = 116.78°
Atoms (fractional coordinates):
Hg: 0.077 0.029 0.239
Hg: 0.923 0.971 0.761
H: 0.148 0.662 0.344
H: 0.852 0.338 0.656
I: 0.000 0.500 0.500
I: 0.253 0.774 0.227
I: 0.268 0.292 0.565
I: 0.290 0.195 0.021
I: 0.710 0.805 0.979
I: 0.732 0.708 0.435
I: 0.747 0.226 0.773

---

The following is a calculated PXRD pattern of KHgH2I3O. It was derived from the PBE geometry in Alexandria, using Cu Ka.

Principal peaks in the range 2θ = 10–90°, by intensity:
two_theta, I (rel.)
11.85, 100.0
24.89, 97.3
25.94, 93.1
40.76, 44.8
31.37, 35.6
41.62, 34.6
20.05, 34.3
23.84, 28.8

Structure:
a = 8.859 Å, b = 9.476 Å, c = 12.130 Å
α = 90.00°, β = 90.00°, γ = 90.00°
Atoms (fractional coordinates):
K: 0.040 0.176 0.000
K: 0.460 0.676 0.500
K: 0.540 0.324 0.000
K: 0.960 0.824 0.500
Hg: 0.238 0.692 0.855
Hg: 0.262 0.192 0.355
Hg: 0.738 0.808 0.855
Hg: 0.762 0.308 0.355
H: 0.121 0.506 0.508
H: 0.151 0.560 0.390
H: 0.349 0.060 0.890
H: 0.379 0.006 0.008
H: 0.621 0.994 0.508
H: 0.651 0.940 0.390
H: 0.849 0.440 0.890
H: 0.879 0.494 0.008
I: 0.000 0.233 0.509
I: 0.000 0.767 0.009
I: 0.234 0.411 0.200
I: 0.248 0.410 0.794
I: 0.252 0.910 0.294
I: 0.266 0.911 0.700
I: 0.500 0.267 0.509
I: 0.500 0.733 0.009
I: 0.734 0.089 0.200
I: 0.748 0.090 0.794
I: 0.752 0.590 0.294
I: 0.766 0.589 0.700
O: 0.156 0.590 0.468
O: 0.344 0.090 0.968
O: 0.656 0.910 0.468
O: 0.844 0.410 0.968